1.
The following is a calculated PXRD pattern of Ba2SmCrO6. It was derived from a cell relaxed with GGA+U, using CuKα.

Structure:
```
data_Ba2SmCrO6
_space_group_name_H-M_alt 'F m -3 m'
_space_group_IT_number 225
_space_group_name_Hall '-F 4 2 3'
_cell_length_a 8.413
_cell_length_b 8.413
_cell_length_c 8.413
_cell_angle_alpha 90.00
_cell_angle_beta 90.00
_cell_angle_gamma 90.00
loop_
_atom_site_label
_atom_site_fract_x
_atom_site_fract_y
_atom_site_fract_z
Ba1 0.250 0.250 0.250
Sm1 0.000 0.000 0.000
Cr1 0.000 0.000 0.500
O1 0.000 0.000 0.273
```

Peak list (10 most intense, 10° ≤ 2θ ≤ 90°, low angle first)
| 2θ/deg | I_rel |
| --- | --- |
| 18.27 | 7 |
| 30.04 | 100 |
| 35.39 | 7 |
| 37.02 | 5 |
| 43.01 | 30 |
| 53.35 | 39 |
| 62.45 | 18 |
| 70.84 | 18 |
| 78.82 | 6 |
| 86.59 | 21 |

2.
The following is a calculated PXRD pattern of MgMn8Si10O30. It was derived from a cell relaxed with GGA+U, using CuKα.

Structure:
```
data_MgMn8Si10O30
_space_group_name_H-M_alt 'P 1'
_space_group_IT_number 1
_space_group_name_Hall 'P 1'
_cell_length_a 6.801
_cell_length_b 7.519
_cell_length_c 12.116
_cell_angle_alpha 106.48
_cell_angle_beta 94.21
_cell_angle_gamma 94.79
loop_
_atom_site_label
_atom_site_fract_x
_atom_site_fract_y
_atom_site_fract_z
Mg1 0.000 0.000 0.000
Mn1 0.103 0.240 0.273
Mn2 0.140 0.456 0.565
Mn3 0.196 0.656 0.850
Mn4 0.308 0.851 0.158
Mn5 0.365 0.078 0.467
Mn6 0.455 0.294 0.751
Mn7 0.516 0.478 0.039
Mn8 0.592 0.710 0.339
Si1 0.038 0.413 0.036
Si2 0.115 0.703 0.384
Si3 0.167 0.905 0.648
Si4 0.479 0.051 0.961
Si5 0.571 0.242 0.224
Si6 0.624 0.511 0.560
Si7 0.692 0.706 0.826
Si8 0.820 0.169 0.426
Si9 0.851 0.748 0.172
Si10 0.952 0.233 0.769
O1 0.058 0.153 0.434
O2 0.071 0.268 0.110
O3 0.079 0.836 0.511
O4 0.136 0.499 0.395
O5 0.145 0.365 0.744
O6 0.209 0.724 0.690
O7 0.226 0.565 0.039
O8 0.283 0.926 0.981
O9 0.299 0.798 0.332
O10 0.362 0.052 0.647
O11 0.383 0.135 0.264
O12 0.431 0.370 0.568
O13 0.434 0.224 0.912
O14 0.519 0.559 0.855
O15 0.541 0.457 0.226
O16 0.589 0.628 0.470
O17 0.611 0.137 0.089
O18 0.614 0.774 0.182
O19 0.622 0.917 0.879
O20 0.661 0.999 0.431
O21 0.698 0.657 0.687
O22 0.736 0.279 0.730
O23 0.773 0.220 0.301
O24 0.806 0.373 0.525
O25 0.848 0.540 0.074
O26 0.913 0.734 0.893
O27 0.914 0.712 0.298
O28 0.966 0.260 0.911
O29 0.995 0.910 0.147
O30 0.997 0.016 0.719
```

Peak list (10 most intense, 10° ≤ 2θ ≤ 90°, low angle first)
| 2θ/deg | I_rel |
| --- | --- |
| 12.49 | 17 |
| 13.13 | 16 |
| 27.99 | 31 |
| 29.81 | 100 |
| 33.03 | 52 |
| 37.19 | 15 |
| 40.74 | 27 |
| 52.69 | 19 |
| 53.74 | 16 |
| 54.19 | 15 |

3.
The following is a calculated PXRD pattern of LiFeS2O8. It was derived from a cell relaxed with GGA+U, using CuKα.

Structure:
```
data_LiFeS2O8
_space_group_name_H-M_alt 'P 1'
_space_group_IT_number 1
_space_group_name_Hall 'P 1'
_cell_length_a 8.397
_cell_length_b 8.405
_cell_length_c 8.930
_cell_angle_alpha 62.28
_cell_angle_beta 62.42
_cell_angle_gamma 60.22
loop_
_atom_site_label
_atom_site_fract_x
_atom_site_fract_y
_atom_site_fract_z
Li1 0.000 0.000 0.000
Li2 0.184 0.585 0.305
Li3 0.591 0.665 0.999
Fe1 0.471 0.879 0.441
Fe2 0.675 0.093 0.813
Fe3 0.993 0.391 0.909
S1 0.080 0.193 0.617
S2 0.285 0.987 0.118
S3 0.369 0.490 0.615
S4 0.580 0.276 0.115
S5 0.786 0.776 0.618
S6 0.869 0.696 0.121
O1 0.061 0.609 0.136
O2 0.102 0.200 0.775
O3 0.125 0.342 0.457
O4 0.162 0.194 0.067
O5 0.179 0.517 0.763
O6 0.197 0.868 0.127
O7 0.210 0.995 0.604
O8 0.313 0.935 0.289
O9 0.342 0.533 0.451
O10 0.451 0.618 0.604
O11 0.467 0.472 0.126
O12 0.481 0.947 0.979
O13 0.499 0.285 0.670
O14 0.528 0.130 0.286
O15 0.548 0.256 0.975
O16 0.588 0.856 0.605
O17 0.715 0.725 0.288
O18 0.792 0.238 0.068
O19 0.795 0.590 0.774
O20 0.802 0.910 0.672
O21 0.832 0.574 0.067
O22 0.850 0.890 0.978
O23 0.877 0.211 0.669
O24 0.935 0.744 0.457
```

Peak list (10 most intense, 10° ≤ 2θ ≤ 90°, low angle first)
| 2θ/deg | I_rel |
| --- | --- |
| 14.47 | 73 |
| 19.84 | 28 |
| 19.97 | 16 |
| 23.61 | 13 |
| 24.20 | 100 |
| 24.32 | 49 |
| 29.14 | 26 |
| 29.23 | 14 |
| 31.83 | 30 |
| 32.01 | 18 |